The following is a simulated powder XRD pattern of Cr3Co3N. It was derived from a PBE-relaxed structure, using Cu Kα X-rays.
Neutral-atom scattering factors, no anomalous dispersion.

Cell: 10.524 10.524 10.524 Å, 90.00 90.00 90.00°
Space group Fd-3m (No. 227, origin choice 2)
One atom of each set of equivalent atoms:
Cr (0.066, 0.375, 0.375) [48 per cell]
Co (0.000, 0.000, 0.500) [16 per cell]
Co (0.040, 0.040, 0.710) [32 per cell]
N (0.000, 0.000, 0.000) [16 per cell]

Most intense lines, 2θ from 5° to 70°, sorted by position:
| 2theta | Rel. int. | hkl |
| --- | --- | --- |
| 14.6 | 121 | 1 1 1 |
| 37.2 | 61 | 3 3 1 |
| 42.1 | 289 | 4 2 2 |
| 44.7 | 1000 | 3 3 3 |
| 49.0 | 325 | 4 4 0 |
| 51.4 | 39 | 5 3 1 |
| 52.1 | 113 | 4 4 2 |
| 57.4 | 17 | 5 3 3 |
| 58.1 | 61 | 6 2 2 |
| 61.0 | 23 | 4 4 4 |
| 63.1 | 25 | 7 1 1 |
| 68.5 | 38 | 5 5 3 |

---

The following is a simulated powder XRD pattern of Tb2Ag2Sn. It was derived from a PBE-relaxed structure, using Cu Kα X-rays.
Neutral-atom scattering factors, no anomalous dispersion.

Cell: 10.266 6.603 7.728 Å, 90.00 111.55 90.00°
Space group C2/c (No. 15)
One atom of each set of equivalent atoms:
Tb (0.175, 0.089, 0.151) [8 per cell]
Ag (0.103, 0.343, 0.446) [8 per cell]
Sn (0.000, 0.276, 0.750) [4 per cell]

Most intense lines, 2θ from 5° to 70°, sorted by position:
| 2theta | Rel. int. | hkl |
| --- | --- | --- |
| 26.7 | 275 | 1 1 -2 |
| 29.8 | 265 | 0 2 1 |
| 31.2 | 335 | 3 1 0 |
| 32.6 | 717 | 1 1 2 |
| 32.7 | 1000 | 2 2 -1 |
| 32.9 | 402 | 2 2 0 |
| 36.8 | 686 | 4 0 -2 |
| 37.1 | 298 | 2 2 -2 |
| 37.4 | 764 | 3 1 1 |
| 37.7 | 988 | 1 1 -3 |
| 45.1 | 303 | 1 3 1 |
| 61.4 | 177 | 2 0 4 |

---

The following is a simulated powder XRD pattern of Li2HSO. It was derived from a PBE-relaxed structure, using Cu Kα X-rays.
Neutral-atom scattering factors, no anomalous dispersion.

Cell: 4.306 4.306 2.774 Å, 90.00 90.00 90.00°
Space group P4mm (No. 99)
One atom of each set of equivalent atoms:
Li (0.000, 0.500, 0.000) [2 per cell]
H (0.000, 0.000, 0.404) [1 per cell]
S (0.500, 0.500, 0.511) [1 per cell]
O (0.000, 0.000, 0.048) [1 per cell]

Most intense lines, 2θ from 5° to 70°, sorted by position:
| 2theta | Rel. int. | hkl |
| --- | --- | --- |
| 20.6 | 268 | 1 0 0 |
| 29.3 | 858 | 1 1 0 |
| 32.3 | 14 | 0 0 1 |
| 38.6 | 1000 | 1 0 1 |
| 42.0 | 615 | 2 0 0 |
| 44.2 | 241 | 1 1 1 |
| 47.2 | 58 | 2 1 0 |
| 58.3 | 494 | 2 1 1 |
| 60.8 | 174 | 2 2 0 |
| 65.0 | 14 | 3 0 0 |
| 67.5 | 57 | 0 0 2 |
| 69.0 | 88 | 3 1 0 |

---

The following is a simulated powder XRD pattern of SrLaEuHo. It was derived from a PBE-relaxed structure, using Cu Kα X-rays.
Neutral-atom scattering factors, no anomalous dispersion.

Cell: 8.599 8.599 8.599 Å, 90.00 90.00 90.00°
Space group F-43m (No. 216)
One atom of each set of equivalent atoms:
Sr (0.000, 0.000, 0.000) [4 per cell]
La (0.250, 0.250, 0.250) [4 per cell]
Eu (0.250, 0.250, 0.750) [4 per cell]
Ho (0.000, 0.000, 0.500) [4 per cell]

Most intense lines, 2θ from 5° to 70°, sorted by position:
| 2theta | Rel. int. | hkl |
| --- | --- | --- |
| 17.9 | 42 | 1 1 1 |
| 20.7 | 6 | 2 0 0 |
| 29.4 | 1000 | 2 2 0 |
| 34.6 | 26 | 3 1 1 |
| 42.0 | 189 | 4 0 0 |
| 46.0 | 12 | 3 3 1 |
| 52.1 | 404 | 4 2 2 |
| 55.5 | 9 | 5 1 1 |
| 60.9 | 126 | 4 4 0 |
| 64.1 | 9 | 5 3 1 |
| 69.1 | 173 | 6 2 0 |

---

The following is a simulated powder XRD pattern of Pr2Ho3Zn2. It was derived from a PBE-relaxed structure, using Cu Kα X-rays.
Neutral-atom scattering factors, no anomalous dispersion.

Cell: 3.645 30.552 3.546 Å, 90.00 90.00 90.00°
Space group Cmmm (No. 65)
One atom of each set of equivalent atoms:
Pr (0.000, 0.198, 0.000) [4 per cell]
Ho (0.000, 0.081, 0.000) [4 per cell]
Ho (0.000, 0.500, 0.500) [2 per cell]
Zn (0.000, 0.365, 0.500) [4 per cell]

Most intense lines, 2θ from 5° to 70°, sorted by position:
| 2theta | Rel. int. | hkl |
| --- | --- | --- |
| 5.8 | 270 | 0 2 0 |
| 26.0 | 179 | 1 3 0 |
| 29.2 | 216 | 0 10 0 |
| 30.7 | 317 | 0 6 1 |
| 32.0 | 1000 | 1 7 0 |
| 34.5 | 659 | 0 8 1 |
| 35.4 | 922 | 1 1 1 |
| 50.1 | 181 | 2 0 0 |
| 51.6 | 166 | 0 0 2 |
| 58.0 | 242 | 1 15 1 |
| 62.0 | 298 | 1 7 2 |
| 62.2 | 237 | 2 8 1 |

---

The following is a simulated powder XRD pattern of POsRuN. It was derived from a PBE-relaxed structure, using Cu Kα X-rays.
Neutral-atom scattering factors, no anomalous dispersion.

Cell: 2.932 3.623 5.312 Å, 90.00 90.00 90.00°
Space group Pmm2 (No. 25)
One atom of each set of equivalent atoms:
P (0.000, 0.000, 0.000) [1 per cell]
Os (0.000, 0.500, 0.730) [1 per cell]
Ru (0.500, 0.000, 0.341) [1 per cell]
N (0.500, 0.500, 0.477) [1 per cell]

Most intense lines, 2θ from 5° to 70°, sorted by position:
| 2theta | Rel. int. | hkl |
| --- | --- | --- |
| 16.7 | 345 | 0 0 1 |
| 29.9 | 1000 | 0 1 1 |
| 33.7 | 173 | 0 0 2 |
| 35.0 | 731 | 1 0 1 |
| 39.5 | 392 | 1 1 0 |
| 42.2 | 232 | 0 1 2 |
| 43.2 | 196 | 1 1 1 |
| 46.1 | 147 | 1 0 2 |
| 50.4 | 175 | 0 2 0 |
| 52.9 | 396 | 1 1 2 |
| 62.8 | 265 | 1 2 1 |
| 66.9 | 156 | 1 1 3 |

---

The following is a simulated powder XRD pattern of Tl5In4Bi4. It was derived from a PBE-relaxed structure, using Cu Kα X-rays.
Neutral-atom scattering factors, no anomalous dispersion.

Cell: 12.861 12.861 4.914 Å, 90.00 90.00 90.00°
Space group I4/m (No. 87)
One atom of each set of equivalent atoms:
Tl (0.000, 0.000, 0.000) [2 per cell]
Tl (0.069, 0.187, 0.500) [8 per cell]
In (0.083, 0.397, 0.000) [8 per cell]
Bi (0.120, 0.744, 0.000) [8 per cell]

Most intense lines, 2θ from 5° to 70°, sorted by position:
| 2theta | Rel. int. | hkl |
| --- | --- | --- |
| 23.8 | 117 | 2 1 1 |
| 31.0 | 1000 | 3 2 1 |
| 31.1 | 143 | 2 4 0 |
| 34.0 | 125 | 4 1 1 |
| 35.6 | 256 | 1 5 0 |
| 36.6 | 203 | 0 0 2 |
| 48.7 | 85 | 2 4 2 |
| 51.2 | 64 | 6 4 0 |
| 52.0 | 176 | 1 5 2 |
| 59.2 | 106 | 5 6 1 |
| 61.1 | 142 | 1 8 1 |
| 62.4 | 138 | 3 2 3 |

---

The following is a simulated powder XRD pattern of Ta4Tc3Mo. It was derived from a PBE-relaxed structure, using Cu Kα X-rays.
Neutral-atom scattering factors, no anomalous dispersion.

Cell: 3.191 4.526 9.063 Å, 90.00 90.00 90.00°
Space group Pmmm (No. 47)
One atom of each set of equivalent atoms:
Ta (0.000, 0.000, 0.000) [1 per cell]
Ta (0.000, 0.000, 0.500) [1 per cell]
Ta (0.000, 0.500, 0.249) [2 per cell]
Tc (0.500, 0.000, 0.247) [2 per cell]
Tc (0.500, 0.500, 0.000) [1 per cell]
Mo (0.500, 0.500, 0.500) [1 per cell]

Most intense lines, 2θ from 5° to 70°, sorted by position:
| 2theta | Rel. int. | hkl |
| --- | --- | --- |
| 27.9 | 99 | 1 0 0 |
| 39.9 | 1000 | 1 1 2 |
| 49.4 | 30 | 1 2 0 |
| 57.6 | 113 | 0 2 4 |
| 57.8 | 56 | 2 0 0 |
| 65.2 | 28 | 1 2 4 |
| 65.3 | 14 | 2 1 2 |